The following is a calculated X-ray diffraction stick pattern of Pm6NdSn6. It was derived from a PBE-relaxed structure, using copper Kα.

Crystal structure
```
13
Lattice="7.3623 0.0000 0.0000 -3.6812 6.3760 0.0000 0.0000 0.0000 9.2595" Properties=species:S:1:pos:R:3 pbc="T T T"
Pm -1.8406 3.1880 2.2857
Pm -1.8406 3.1880 6.9737
Pm 3.6812 0.0000 2.2857
Pm 3.6812 0.0000 6.9737
Pm 1.8406 3.1880 2.2857
Pm 1.8406 3.1880 6.9737
Nd 0.0000 0.0000 4.6297
Sn 0.0000 0.0000 1.4783
Sn 0.0000 0.0000 7.7812
Sn 0.0000 4.2506 0.0000
Sn 0.0000 4.2506 4.6297
Sn 3.6812 2.1253 0.0000
Sn 3.6812 2.1253 4.6297
```

The 6 most intense peaks (15° ≤ 2θ ≤ 90°), sorted by position:
2θ (°), d/Å, I/Imax, hkl
24.2, 3.681, 34, 1 1 0
28.0, 3.188, 76, 2 0 0
31.0, 2.881, 74, 1 1 2
34.1, 2.626, 100, 2 0 2
49.5, 1.841, 47, 2 2 0
64.7, 1.441, 25, 2 2 4